Diffraction record for Dy4Ho4Th. The powder X-ray diffraction pattern is computed, not measured: it uses the GGA-PBE geometry in Alexandria and Cu Kα (λ = 1.5418 Å).
Intensities are scaled so that the largest is 100.

Structural model:
Lattice parameters (Å, degrees): 7.9167 7.9167 7.9167 95.76 95.76 143.07
Positions (direct):
Dy: 0.0000 0.3316 0.3316
Dy: 0.0000 0.6684 0.6684
Dy: 0.3316 0.0000 0.3316
Dy: 0.6684 0.0000 0.6684
Ho: 0.3355 0.3355 0.6709
Ho: 0.3355 0.6645 0.0000
Ho: 0.6645 0.3355 0.0000
Ho: 0.6645 0.6645 0.3291
Th: 0.0000 0.0000 0.0000

Principal peaks in the range 10 to 90 degrees two-theta, low angle first:
| Position (°2θ) | I (rel.) |
| --- | --- |
| 30.92 | 100 |
| 35.86 | 51 |
| 51.61 | 36 |
| 61.39 | 43 |
| 64.44 | 12 |
| 75.89 | 2 |
| 76.05 | 4 |
| 84.27 | 18 |
| 86.90 | 6 |
| 87.03 | 11 |

=====

Diffraction record for Zr4As5. The powder X-ray diffraction pattern is computed, not measured: it uses the GGA-PBE geometry in Alexandria and Cu Kα (λ = 1.5418 Å).
Intensities are scaled so that the largest is 100.

Structural model:
Lattice parameters (Å, degrees): 8.4546 8.4546 5.6211 90.00 90.00 120.00
Positions (direct):
Zr: 0.0000 0.0000 0.0000
Zr: 0.0000 0.0000 0.5000
Zr: 0.0000 0.3765 0.2500
Zr: 0.0000 0.6235 0.7500
Zr: 0.3765 0.0000 0.2500
Zr: 0.3765 0.3765 0.7500
Zr: 0.6235 0.0000 0.7500
Zr: 0.6235 0.6235 0.2500
As: 0.0000 0.2840 0.7500
As: 0.0000 0.7160 0.2500
As: 0.2840 0.0000 0.7500
As: 0.2840 0.2840 0.2500
As: 0.3333 0.6667 0.0000
As: 0.3333 0.6667 0.5000
As: 0.6667 0.3333 0.0000
As: 0.6667 0.3333 0.5000
As: 0.7160 0.0000 0.2500
As: 0.7160 0.7160 0.7500

Principal peaks in the range 10 to 90 degrees two-theta, low angle first:
| Position (°2θ) | I (rel.) |
| --- | --- |
| 36.18 | 41 |
| 36.83 | 99 |
| 38.46 | 100 |
| 47.61 | 15 |
| 54.31 | 28 |
| 59.59 | 9 |
| 67.42 | 22 |
| 70.03 | 12 |
| 74.04 | 9 |
| 78.55 | 21 |